Diffraction record for CaYCl3. The powder diffraction line list is theoretical, not measured: it uses a cell relaxed with GGA-PBE and λ = 1.5418 Å (Cu Kα).
Kinematic intensities with the Lorentz-polarization factor, no thermal factor.

Principal peaks in the range 10° ≤ 2θ ≤ 90°, by angle:
- 2θ 23.6, I = 813
- 2θ 29.0, I = 856
- 2θ 33.6, I = 1000
- 2θ 41.5, I = 364
- 2θ 48.2, I = 655
- 2θ 54.4, I = 162
- 2θ 57.3, I = 317
- 2θ 60.1, I = 215
- 2θ 65.5, I = 181
- 2θ 80.5, I = 267

Atomic structure:
Unit cell a=5.336 b=5.336 c=5.336 alpha=90.00 beta=90.00 gamma=90.00
Element x y z (fractional)
Ca  0.000  0.000  0.000
Y  0.500  0.500  0.500
Cl  0.000  0.000  0.500
Cl  0.000  0.500  0.000
Cl  0.500  0.000  0.000


Diffraction record for NpCuRuO6. The powder diffraction line list is theoretical, not measured: it uses a cell relaxed with GGA-PBE and λ = 1.5418 Å (Cu Kα).
Kinematic intensities with the Lorentz-polarization factor, no thermal factor.

Principal peaks in the range 10° ≤ 2θ ≤ 90°, by angle:
- 2θ 19.5, I = 226
- 2θ 22.1, I = 530
- 2θ 28.0, I = 1000
- 2θ 34.7, I = 551
- 2θ 35.8, I = 156
- 2θ 40.1, I = 274
- 2θ 45.2, I = 271
- 2θ 53.7, I = 504
- 2θ 58.2, I = 254
- 2θ 62.3, I = 186

Atomic structure:
Unit cell a=5.165 b=5.165 c=9.103 alpha=90.00 beta=90.00 gamma=120.00
Element x y z (fractional)
Np  0.333  0.667  0.250
Np  0.667  0.333  0.750
Cu  0.333  0.667  0.750
Cu  0.667  0.333  0.250
Ru  0.000  0.000  0.000
Ru  0.000  0.000  0.500
O  0.007  0.322  0.124
O  0.007  0.685  0.376
O  0.315  0.322  0.376
O  0.315  0.993  0.124
O  0.322  0.007  0.624
O  0.322  0.315  0.876
O  0.678  0.685  0.124
O  0.678  0.993  0.376
O  0.685  0.007  0.876
O  0.685  0.678  0.624
O  0.993  0.315  0.624
O  0.993  0.678  0.876


Diffraction record for LiPrCd14. The powder diffraction line list is theoretical, not measured: it uses a cell relaxed with GGA-PBE and λ = 1.5418 Å (Cu Kα).
Kinematic intensities with the Lorentz-polarization factor, no thermal factor.

Principal peaks in the range 10° ≤ 2θ ≤ 90°, by angle:
- 2θ 17.0, I = 35
- 2θ 34.4, I = 1000
- 2θ 38.5, I = 360
- 2θ 42.6, I = 135
- 2θ 55.6, I = 117
- 2θ 58.8, I = 198
- 2θ 67.0, I = 259
- 2θ 72.5, I = 102
- 2θ 72.7, I = 103
- 2θ 82.5, I = 35

Atomic structure:
Unit cell a=6.611 b=6.611 c=8.493 alpha=90.00 beta=90.00 gamma=90.00
Element x y z (fractional)
Li  0.000  0.000  0.000
Pr  0.500  0.500  0.000
Cd  0.000  0.000  0.500
Cd  0.000  0.500  0.000
Cd  0.000  0.500  0.500
Cd  0.240  0.240  0.255
Cd  0.240  0.240  0.745
Cd  0.240  0.760  0.255
Cd  0.240  0.760  0.745
Cd  0.500  0.000  0.000
Cd  0.500  0.000  0.500
Cd  0.500  0.500  0.500
Cd  0.760  0.240  0.255
Cd  0.760  0.240  0.745
Cd  0.760  0.760  0.255
Cd  0.760  0.760  0.745


Diffraction record for Y5HoCd3. The powder diffraction line list is theoretical, not measured: it uses a cell relaxed with GGA-PBE and λ = 1.5418 Å (Cu Kα).
Kinematic intensities with the Lorentz-polarization factor, no thermal factor.

Principal peaks in the range 10° ≤ 2θ ≤ 90°, by angle:
- 2θ 32.3, I = 1000
- 2θ 33.8, I = 963
- 2θ 47.4, I = 335
- 2θ 52.7, I = 88
- 2θ 59.5, I = 335
- 2θ 60.4, I = 172
- 2θ 64.1, I = 286
- 2θ 71.0, I = 105
- 2θ 80.2, I = 139
- 2θ 84.3, I = 133

Atomic structure:
Unit cell a=9.198 b=9.198 c=6.944 alpha=90.00 beta=90.00 gamma=120.00
Element x y z (fractional)
Y  0.000  0.332  0.250
Y  0.000  0.668  0.750
Y  0.332  0.000  0.250
Y  0.332  0.332  0.750
Y  0.333  0.667  0.000
Y  0.333  0.667  0.500
Y  0.667  0.333  0.000
Y  0.667  0.333  0.500
Y  0.668  0.000  0.750
Y  0.668  0.668  0.250
Ho  0.000  0.000  0.000
Ho  0.000  0.000  0.500
Cd  0.000  0.334  0.750
Cd  0.000  0.666  0.250
Cd  0.334  0.000  0.750
Cd  0.334  0.334  0.250
Cd  0.666  0.000  0.250
Cd  0.666  0.666  0.750


Diffraction record for ZnAu. The powder diffraction line list is theoretical, not measured: it uses a cell relaxed with GGA-PBE and λ = 1.5418 Å (Cu Kα).
Kinematic intensities with the Lorentz-polarization factor, no thermal factor.

Principal peaks in the range 10° ≤ 2θ ≤ 90°, by angle:
- 2θ 20.4, I = 253
- 2θ 35.0, I = 394
- 2θ 40.9, I = 1000
- 2θ 41.6, I = 197
- 2θ 55.4, I = 215
- 2θ 62.7, I = 174
- 2θ 66.7, I = 70
- 2θ 75.4, I = 166
- 2θ 77.6, I = 154
- 2θ 78.1, I = 186

Atomic structure:
Unit cell a=2.963 b=2.963 c=4.343 alpha=90.00 beta=90.00 gamma=120.00
Element x y z (fractional)
Zn  0.000  0.000  0.000
Au  0.667  0.333  0.500


Diffraction record for Pm3Sm4Y3. The powder diffraction line list is theoretical, not measured: it uses a cell relaxed with GGA-PBE and λ = 1.5418 Å (Cu Kα).
Kinematic intensities with the Lorentz-polarization factor, no thermal factor.

Principal peaks in the range 10° ≤ 2θ ≤ 90°, by angle:
- 2θ 13.2, I = 149
- 2θ 29.8, I = 244
- 2θ 29.9, I = 240
- 2θ 30.2, I = 161
- 2θ 31.7, I = 1000
- 2θ 38.0, I = 91
- 2θ 48.1, I = 99
- 2θ 57.6, I = 149
- 2θ 57.7, I = 97
- 2θ 58.0, I = 87

Atomic structure:
Unit cell a=3.784 b=9.462 c=9.462 alpha=89.62 beta=90.00 gamma=90.00
Element x y z (fractional)
Pm  0.000  0.000  0.000
Pm  0.000  0.500  0.841
Pm  0.000  0.841  0.500
Sm  0.500  0.042  0.300
Sm  0.500  0.300  0.042
Sm  0.500  0.541  0.541
Sm  0.500  0.800  0.800
Y  0.000  0.341  0.341
Y  0.500  0.172  0.667
Y  0.500  0.667  0.172


- What is the formula in the fourth record?
  Y5HoCd3